This entry pairs a crystal structure of Ac2Ag5Pb3 with its theoretical powder diffraction line list. Radiation: CuKα. Structure: the GGA-PBE geometry in Alexandria.

The 10 most intense peaks (2θ = 10–90°), in order of rising 2θ:
| d/Å | Rel. int. |
| --- | --- |
| 3.046 | 100 |
| 2.958 | 78 |
| 2.900 | 72 |
| 2.379 | 100 |
| 2.128 | 52 |
| 1.890 | 26 |
| 1.860 | 29 |
| 1.704 | 27 |
| 1.577 | 22 |
| 1.261 | 23 |

Cell and atoms:
```
Ac2Ag5Pb3
1.0
-5.9483 6.6445 3.4093
5.9483 -6.6445 3.4093
5.9483 6.6445 -3.4093
Ac Ag Pb
4 10 6
Direct
0.1232 0.2402 0.3635
0.3768 0.7402 0.1170
0.6232 0.2598 0.8830
0.8768 0.7598 0.6365
0.0124 0.7500 0.2624
0.1250 0.6397 0.7647
0.2500 0.2500 0.0000
0.3750 0.1397 0.5147
0.4876 0.7500 0.7376
0.5124 0.2500 0.2624
0.6250 0.8603 0.4853
0.7500 0.7500 0.0000
0.8750 0.3603 0.2353
0.9876 0.2500 0.7376
0.1333 0.8712 0.0045
0.2500 0.7500 0.5000
0.3667 0.3712 0.7378
0.6333 0.6288 0.2622
0.7500 0.2500 0.5000
0.8667 0.1288 0.9955
```

This entry pairs a crystal structure of Pr4SnTe5 with its theoretical powder diffraction line list. Radiation: CuKα. Structure: the GGA-PBE geometry in Alexandria.

The 10 most intense peaks (2θ = 10–90°), in order of rising 2θ:
| d/Å | Rel. int. |
| --- | --- |
| 3.214 | 100 |
| 2.272 | 76 |
| 1.859 | 6 |
| 1.854 | 21 |
| 1.607 | 13 |
| 1.438 | 17 |
| 1.436 | 18 |
| 1.314 | 6 |
| 1.311 | 19 |
| 1.135 | 4 |

Cell and atoms:
```
Pr4SnTe5
1.0
2.2699 1.3105 18.5930
-2.2699 1.3105 18.5930
0.0000 -2.6211 18.5930
Pr Sn Te
4 1 5
Direct
0.0969 0.0969 0.0969
0.2990 0.2990 0.2990
0.7010 0.7010 0.7010
0.9031 0.9031 0.9031
0.5000 0.5000 0.5000
0.0000 0.0000 0.0000
0.1998 0.1998 0.1998
0.3993 0.3993 0.3993
0.6007 0.6007 0.6007
0.8002 0.8002 0.8002
```

This entry pairs a crystal structure of Sm8Y6Er with its theoretical powder diffraction line list. Radiation: CuKα. Structure: the GGA-PBE geometry in Alexandria.

The 10 most intense peaks (2θ = 10–90°), in order of rising 2θ:
| d/Å | Rel. int. |
| --- | --- |
| 2.957 | 23 |
| 2.870 | 100 |
| 2.784 | 31 |
| 2.762 | 7 |
| 2.591 | 12 |
| 2.463 | 15 |
| 2.282 | 7 |
| 1.739 | 11 |
| 1.675 | 9 |
| 1.548 | 11 |

Cell and atoms:
```
Sm8Y6Er
1.0
4.5636 2.6348 6.9409
-4.5636 2.6348 6.9409
0.0000 -5.2696 6.9409
Sm Y Er
8 6 1
Direct
0.0771 0.0771 0.0771
0.2180 0.2498 0.6119
0.2498 0.6119 0.2180
0.3881 0.7820 0.7502
0.6119 0.2180 0.2498
0.7502 0.3881 0.7820
0.7820 0.7502 0.3881
0.9229 0.9229 0.9229
0.0395 0.7431 0.5987
0.2569 0.4013 0.9605
0.4013 0.9605 0.2569
0.5987 0.0395 0.7431
0.7431 0.5987 0.0395
0.9605 0.2569 0.4013
0.5000 0.5000 0.5000
```